This entry pairs a crystal structure of PaTlO3 with its simulated X-ray diffraction stick pattern. Radiation: Cu Kα (λ = 1.5418 Å). Structure: a structure optimized by DFT (PBE).
Intensities are scaled so that the largest is 100.

Atomic structure:
```
data_PaTlO3
_space_group_name_H-M_alt 'P n m a'
_space_group_IT_number 62
_cell_length_a 6.2337
_cell_length_b 8.8013
_cell_length_c 6.1965
_cell_angle_alpha 90.00
_cell_angle_beta 90.00
_cell_angle_gamma 90.00
loop_
_space_group_symop_operation_xyz
'x,y,z'
'-x,-y,-z'
'-x+1/2,-y,z+1/2'
'x+1/2,y,-z+1/2'
'x+1/2,-y+1/2,-z+1/2'
'-x+1/2,y+1/2,z+1/2'
'-x,y+1/2,-z'
'x,-y+1/2,z'
loop_
_atom_site_label
_atom_site_type_symbol
_atom_site_fract_x
_atom_site_fract_y
_atom_site_fract_z
Pa1 Pa 0.0000 0.0000 0.0000
Tl1 Tl 0.0007 0.2500 0.5002
O1 O 0.9996 0.2500 0.0194
O2 O 0.2402 0.5092 0.2606
```

Most intense lines, 2θ = 10–90°, low angle first:
2θ = 28.69°, intensity 100, (2 0 0); 2θ = 28.82°, intensity 20, (0 0 2); 2θ = 41.06°, intensity 31, (2 0 2); 2θ = 50.78°, intensity 26, (2 4 0); 2θ = 50.96°, intensity 26, (1 2 3); 2θ = 59.45°, intensity 14, (2 4 2); 2θ = 67.28°, intensity 12, (4 0 2); 2θ = 67.37°, intensity 8, (3 2 3); 2θ = 81.85°, intensity 14, (4 4 2); 2θ = 82.09°, intensity 9, (1 6 3)